Record 1
# CsRbCuAs
Theoretical X-ray diffraction stick pattern, Cu Kα. Input: a crystal structure in OQMD, relaxed with GGA-PBE.
Lines closer than 0.1° are merged.

Main lines, in order of falling intensity (2θ from 15° to 90°):
2θ = 30.3°, 2.951 Å, intensity 100, (1 1 3); 2θ = 27.0°, 3.301 Å, intensity 51, (1 2 0); 2θ = 26.9°, 3.314 Å, intensity 41, (0 1 3); 2θ = 51.9°, 1.762 Å, intensity 33, (2 3 3); 2θ = 50.4°, 1.811 Å, intensity 31, (3 1 3); 2θ = 27.5°, 3.245 Å, intensity 24, (2 0 0); 2θ = 36.3°, 2.477 Å, intensity 24, (2 2 0); 2θ = 49.6°, 1.838 Å, intensity 20, (0 0 6); 2θ = 31.0°, 2.884 Å, intensity 19, (2 1 1); 2θ = 43.1°, 2.099 Å, intensity 12, (0 3 3); 2θ = 57.4°, 1.605 Å, intensity 12, (1 2 6); 2θ = 79.3°, 1.209 Å, intensity 12, (5 1 3)

Structure:
```
data_CsRbCuAs
_symmetry_space_group_name_H-M 'A m a 2'
_symmetry_Int_Tables_number 40
_symmetry_space_group_name_Hall 'A 2 -2a'
_cell_length_a 6.4902
_cell_length_b 7.6674
_cell_length_c 11.0233
_cell_angle_alpha 90.00
_cell_angle_beta 90.00
_cell_angle_gamma 90.00
loop_
_atom_site_label
_atom_site_fract_x
_atom_site_fract_y
_atom_site_fract_z
_atom_site_occupancy
Cs1 0.2500 0.1571 0.0000 1
Rb1 0.2500 0.1593 0.6664 1
Cu1 0.0000 0.0000 0.3303 1
As1 0.2500 0.2225 0.3368 1
```



Record 2
# Cs2CuAsS4
Theoretical X-ray diffraction stick pattern, Cu Kα. Input: a crystal structure in OQMD, relaxed with GGA-PBE.
Lines closer than 0.1° are merged.

Main lines, in order of falling intensity (2θ from 15° to 90°):
2θ = 23.4°, 3.798 Å, intensity 100, (1 -1 1); 2θ = 25.2°, 3.540 Å, intensity 91, (1 2 1); 2θ = 28.5°, 3.134 Å, intensity 90, (2 0 0); 2θ = 24.2°, 3.676 Å, intensity 73, (1 0 -2); 2θ = 32.4°, 2.764 Å, intensity 63, (0 2 3); 2θ = 33.1°, 2.704 Å, intensity 57, (1 1 4); 2θ = 30.7°, 2.912 Å, intensity 50, (1 2 -1); 2θ = 27.3°, 3.271 Å, intensity 46, (1 0 3); 2θ = 28.6°, 3.122 Å, intensity 46, (2 1 2); 2θ = 27.8°, 3.204 Å, intensity 45, (0 2 2); 2θ = 31.8°, 2.811 Å, intensity 44, (0 1 -3); 2θ = 46.7°, 1.947 Å, intensity 31, (3 0 3)

Structure:
```
data_Cs2CuAsS4
_symmetry_space_group_name_H-M 'P -1'
_symmetry_Int_Tables_number 2
_symmetry_space_group_name_Hall '-P 1'
_cell_length_a 6.6766
_cell_length_b 7.3156
_cell_length_c 10.9726
_cell_angle_alpha 72.90
_cell_angle_beta 75.50
_cell_angle_gamma 72.59
loop_
_atom_site_label
_atom_site_fract_x
_atom_site_fract_y
_atom_site_fract_z
_atom_site_occupancy
Cs1 0.2233 0.2633 0.0892 1
Cs2 0.2719 0.0117 0.6894 1
Cu1 0.1218 0.5983 0.5838 1
As1 0.3543 0.6228 0.2804 1
S1 0.2283 0.8343 0.4058 1
S2 0.2334 0.3552 0.3881 1
S3 0.2467 0.7588 0.0948 1
S4 0.2876 0.4567 0.7533 1
```



Record 3
# Cs4Cu2SbAs
Theoretical X-ray diffraction stick pattern, Cu Kα. Input: a crystal structure in OQMD, relaxed with GGA-PBE.
Lines closer than 0.1° are merged.

Main lines, in order of falling intensity (2θ from 15° to 90°):
2θ = 29.1°, 3.073 Å, intensity 100, (1 3 1); 2θ = 26.2°, 3.400 Å, intensity 48, (1 0 2); 2θ = 25.8°, 3.454 Å, intensity 34, (0 3 1); 2θ = 50.0°, 1.823 Å, intensity 29, (2 3 3); 2θ = 35.1°, 2.559 Å, intensity 28, (2 0 2); 2θ = 26.5°, 3.363 Å, intensity 27, (2 0 0); 2θ = 48.4°, 1.880 Å, intensity 24, (3 3 1); 2θ = 54.9°, 1.673 Å, intensity 12, (1 6 2); 2θ = 29.9°, 2.987 Å, intensity 12, (2 1 1); 2θ = 47.3°, 1.921 Å, intensity 11, (0 6 0); 2θ = 41.6°, 2.169 Å, intensity 11, (0 3 3); 2θ = 46.6°, 1.949 Å, intensity 9, (3 0 2)

Structure:
```
data_Cs4Cu2SbAs
_symmetry_space_group_name_H-M 'A m m 2'
_symmetry_Int_Tables_number 38
_symmetry_space_group_name_Hall 'A 2 -2'
_cell_length_a 6.7253
_cell_length_b 11.5280
_cell_length_c 7.8828
_cell_angle_alpha 90.00
_cell_angle_beta 90.00
_cell_angle_gamma 90.00
loop_
_atom_site_label
_atom_site_fract_x
_atom_site_fract_y
_atom_site_fract_z
_atom_site_occupancy
Cs1 0.0000 0.1616 0.0000 1
Cs2 0.5000 0.1694 0.3250 1
Cu1 0.2842 0.0000 0.6821 1
Sb1 0.0000 0.0000 0.4672 1
As1 0.5000 0.0000 0.9134 1
```



Record 4
# Cs3DyAs2
Theoretical X-ray diffraction stick pattern, Cu Kα. Input: a crystal structure in OQMD, relaxed with GGA-PBE.
Lines closer than 0.1° are merged.

Main lines, in order of falling intensity (2θ from 15° to 90°):
2θ = 24.1°, 3.699 Å, intensity 100, (2 0 -2); 2θ = 26.1°, 3.408 Å, intensity 89, (2 0 2); 2θ = 25.0°, 3.565 Å, intensity 83, (0 2 2); 2θ = 21.3°, 4.170 Å, intensity 76, (2 2 0); 2θ = 26.0°, 3.428 Å, intensity 64, (1 3 1); 2θ = 45.0°, 2.015 Å, intensity 57, (2 2 -4); 2θ = 23.7°, 3.756 Å, intensity 51, (1 3 0); 2θ = 38.5°, 2.339 Å, intensity 47, (4 2 -2); 2θ = 39.2°, 2.297 Å, intensity 29, (3 3 2); 2θ = 30.6°, 2.924 Å, intensity 28, (4 0 0); 2θ = 23.2°, 3.834 Å, intensity 27, (1 1 2); 2θ = 37.1°, 2.424 Å, intensity 22, (3 3 -2)

Structure:
```
data_Cs3DyAs2
_symmetry_space_group_name_H-M 'C 1 2/c 1'
_symmetry_Int_Tables_number 15
_symmetry_space_group_name_Hall '-C 2yc'
_cell_length_a 11.7364
_cell_length_b 11.8977
_cell_length_c 8.9375
_cell_angle_alpha 90.00
_cell_angle_beta 94.81
_cell_angle_gamma 90.00
loop_
_atom_site_label
_atom_site_fract_x
_atom_site_fract_y
_atom_site_fract_z
_atom_site_occupancy
Cs1 0.0000 0.1861 0.2500 1
Cs2 0.2111 0.4603 0.9831 1
Dy1 0.0000 0.2030 0.7500 1
As1 0.1854 0.2456 0.6033 1
```



Record 5
# CsRbDy2As2
Theoretical X-ray diffraction stick pattern, Cu Kα. Input: a crystal structure in OQMD, relaxed with GGA-PBE.
Lines closer than 0.1° are merged.

Main lines, in order of falling intensity (2θ from 15° to 90°):
2θ = 27.0°, 3.296 Å, intensity 100, (1 1 1); 2θ = 27.3°, 3.267 Å, intensity 77, (1 0 2); 2θ = 35.5°, 2.525 Å, intensity 74, (2 0 0); 2θ = 32.6°, 2.743 Å, intensity 65, (1 1 2); 2θ = 49.6°, 1.837 Å, intensity 44, (1 1 4); 2θ = 45.4°, 1.998 Å, intensity 38, (2 1 2); 2θ = 74.0°, 1.280 Å, intensity 27, (3 1 4); 2θ = 51.2°, 1.786 Å, intensity 26, (2 2 0); 2θ = 58.8°, 1.570 Å, intensity 23, (3 1 1); 2θ = 40.4°, 2.230 Å, intensity 22, (1 1 3); 2θ = 62.0°, 1.497 Å, intensity 21, (3 1 2); 2θ = 20.7°, 4.284 Å, intensity 17, (0 0 2)

Structure:
```
data_CsRbDy2As2
_symmetry_space_group_name_H-M 'P 4 m m'
_symmetry_Int_Tables_number 99
_symmetry_space_group_name_Hall 'P 4 -2'
_cell_length_a 5.0506
_cell_length_b 5.0506
_cell_length_c 8.5674
_cell_angle_alpha 90.00
_cell_angle_beta 90.00
_cell_angle_gamma 90.00
loop_
_atom_site_label
_atom_site_fract_x
_atom_site_fract_y
_atom_site_fract_z
_atom_site_occupancy
Cs1 0.0000 0.0000 0.0000 1
Rb1 0.5000 0.5000 0.7441 1
Dy1 0.0000 0.5000 0.3780 1
As1 0.0000 0.0000 0.5430 1
As2 0.5000 0.5000 0.2068 1
```



Record 6
# CsFe3As5
Theoretical X-ray diffraction stick pattern, Cu Kα. Input: a crystal structure in OQMD, relaxed with GGA-PBE.
Lines closer than 0.1° are merged.

Main lines, in order of falling intensity (2θ from 15° to 90°):
2θ = 28.6°, 3.124 Å, intensity 100, (1 0 2); 2θ = 46.0°, 1.973 Å, intensity 86, (2 0 2); 2θ = 35.3°, 2.546 Å, intensity 69, (1 1 0); 2θ = 22.5°, 3.947 Å, intensity 40, (1 0 1); 2θ = 59.2°, 1.560 Å, intensity 35, (2 1 2); 2θ = 40.8°, 2.213 Å, intensity 29, (0 0 4); 2θ = 55.0°, 1.670 Å, intensity 28, (1 1 4); 2θ = 40.9°, 2.206 Å, intensity 20, (2 0 0); 2θ = 47.2°, 1.927 Å, intensity 19, (1 1 3); 2θ = 88.6°, 1.103 Å, intensity 18, (2 2 4); 2θ = 74.6°, 1.273 Å, intensity 17, (2 2 0); 2θ = 77.9°, 1.226 Å, intensity 13, (2 0 6)

Structure:
```
data_CsFe3As5
_symmetry_space_group_name_H-M 'P 6/m m m'
_symmetry_Int_Tables_number 191
_symmetry_space_group_name_Hall '-P 6 2'
_cell_length_a 5.0915
_cell_length_b 5.0915
_cell_length_c 8.8509
_cell_angle_alpha 90.00
_cell_angle_beta 90.00
_cell_angle_gamma 120.00
loop_
_atom_site_label
_atom_site_fract_x
_atom_site_fract_y
_atom_site_fract_z
_atom_site_occupancy
Cs1 0.0000 0.0000 0.0000 1
Fe1 0.0000 0.5000 0.5000 1
As1 0.0000 0.0000 0.5000 1
As2 0.3333 0.6667 0.2767 1
```



Record 7
# Cs3GdAs2
Theoretical X-ray diffraction stick pattern, Cu Kα. Input: a crystal structure in OQMD, relaxed with GGA-PBE.
Lines closer than 0.1° are merged.

Main lines, in order of falling intensity (2θ from 15° to 90°):
2θ = 24.0°, 3.715 Å, intensity 100, (2 0 -2); 2θ = 26.0°, 3.424 Å, intensity 91, (2 0 2); 2θ = 24.8°, 3.594 Å, intensity 86, (0 2 2); 2θ = 21.2°, 4.186 Å, intensity 80, (2 2 0); 2θ = 38.3°, 2.349 Å, intensity 61, (4 2 -2); 2θ = 25.8°, 3.451 Å, intensity 60, (1 3 1); 2θ = 23.5°, 3.781 Å, intensity 50, (1 3 0); 2θ = 30.5°, 2.928 Å, intensity 44, (4 0 0); 2θ = 44.6°, 2.031 Å, intensity 39, (2 2 -4); 2θ = 23.0°, 3.861 Å, intensity 28, (1 1 2); 2θ = 39.0°, 2.308 Å, intensity 25, (3 3 2); 2θ = 29.8°, 2.996 Å, intensity 23, (0 4 0)

Structure:
```
data_Cs3GdAs2
_symmetry_space_group_name_H-M 'C 1 2/c 1'
_symmetry_Int_Tables_number 15
_symmetry_space_group_name_Hall '-C 2yc'
_cell_length_a 11.7441
_cell_length_b 11.9849
_cell_length_c 9.0161
_cell_angle_alpha 90.00
_cell_angle_beta 94.90
_cell_angle_gamma 90.00
loop_
_atom_site_label
_atom_site_fract_x
_atom_site_fract_y
_atom_site_fract_z
_atom_site_occupancy
Cs1 0.0000 0.1888 0.2500 1
Cs2 0.2124 0.4627 0.9819 1
Gd1 0.0000 0.2037 0.7500 1
As1 0.1851 0.2465 0.6012 1
```



Record 8
# CsHf3As5
Theoretical X-ray diffraction stick pattern, Cu Kα. Input: a crystal structure in OQMD, relaxed with GGA-PBE.
Lines closer than 0.1° are merged.

Main lines, in order of falling intensity (2θ from 15° to 90°):
2θ = 43.6°, 2.078 Å, intensity 100, (2 0 2); 2θ = 36.2°, 2.483 Å, intensity 64, (2 0 1); 2θ = 33.4°, 2.683 Å, intensity 48, (2 0 0); 2θ = 31.9°, 2.802 Å, intensity 43, (1 1 1); 2θ = 59.7°, 1.549 Å, intensity 29, (2 2 0); 2θ = 66.8°, 1.401 Å, intensity 29, (2 0 4); 2θ = 21.4°, 4.155 Å, intensity 27, (1 0 1); 2θ = 28.8°, 3.098 Å, intensity 25, (1 1 0); 2θ = 27.2°, 3.284 Å, intensity 20, (0 0 2); 2θ = 76.8°, 1.242 Å, intensity 19, (4 0 2); 2θ = 44.7°, 2.027 Å, intensity 18, (1 0 3); 2θ = 75.1°, 1.264 Å, intensity 15, (2 2 3)

Structure:
```
data_CsHf3As5
_symmetry_space_group_name_H-M 'P 6/m m m'
_symmetry_Int_Tables_number 191
_symmetry_space_group_name_Hall '-P 6 2'
_cell_length_a 6.1950
_cell_length_b 6.1950
_cell_length_c 6.5686
_cell_angle_alpha 90.00
_cell_angle_beta 90.00
_cell_angle_gamma 120.00
loop_
_atom_site_label
_atom_site_fract_x
_atom_site_fract_y
_atom_site_fract_z
_atom_site_occupancy
Cs1 0.0000 0.0000 0.0000 1
Hf1 0.0000 0.5000 0.5000 1
As1 0.0000 0.0000 0.5000 1
As2 0.3333 0.6667 0.1963 1
```